Calculated powder XRD pattern
Compound: Tb5Pr4Mg2
Radiation: a wavelength of 1.5418 Å
Structure: a DFT-relaxed cell (PBE, Alexandria)
Intensities are scaled so that the largest is 100.

Peak list (8 most intense, 10° ≤ 2θ ≤ 80°, in order of falling intensity)
d = 2.806 Å, 2θ 31.89, I 100, hkl 2 0 3
d = 2.890 Å, 2θ 30.94, I 54, hkl 3 0 -1
d = 2.862 Å, 2θ 31.25, I 39, hkl 1 1 -2
d = 2.634 Å, 2θ 34.03, I 32, hkl 2 1 1
d = 1.482 Å, 2θ 62.69, I 29, hkl 2 2 3
d = 2.799 Å, 2θ 31.98, I 25, hkl 1 1 2
d = 2.989 Å, 2θ 29.89, I 22, hkl 0 1 2
d = 2.515 Å, 2θ 35.70, I 19, hkl 2 1 -2

Crystal structure
```
data_Tb5Pr4Mg2
_chemical_formula_sum 'Tb5 Pr4 Mg2'
_cell_length_a 8.8135
_cell_length_b 3.4904
_cell_length_c 11.6063
_cell_angle_alpha 90.00
_cell_angle_beta 94.07
_cell_angle_gamma 90.00
_symmetry_space_group_name_H-M 'P 1 2/m 1'
_symmetry_Int_Tables_number 10
loop_
_symmetry_equiv_pos_as_xyz
'x,y,z'
'-x,-y,-z'
'-x,y,-z'
'x,-y,z'
loop_
_atom_site_label
_atom_site_type_symbol
_atom_site_fract_x
_atom_site_fract_y
_atom_site_fract_z
_atom_site_occupancy
Tb1 Tb 0.0000 0.0000 0.0000 1
Tb2 Tb 0.0734 0.0000 0.2912 1
Tb3 Tb 0.2942 0.0000 0.8308 1
Pr1 Pr 0.2109 0.5000 0.5485 1
Pr2 Pr 0.3522 0.5000 0.1135 1
Mg1 Mg 0.4484 0.0000 0.3691 1
```